Simulated X-ray diffraction stick pattern of Y6MgMn6O18 for Cu Ka, from a DFT-relaxed cell (GGA+U, the Materials Project).

a b c (Å): 6.2292 11.0394 11.9135
angles (deg): 90.00 91.32 90.00
Space group Cm (No. 8)
Asymmetric unit:
1 Y 0.0000 0.0000 0.0000 x2
2 Y 0.0018 0.3358 0.9254 x4
3 Y 0.0227 0.3354 0.4188 x4
4 Y 0.0251 0.0000 0.4625 x2
5 Mg 0.4742 0.5000 0.7774 x2
6 Mn 0.0353 0.5000 0.6737 x2
7 Mn 0.1846 0.1864 0.6852 x4
8 Mn 0.3426 0.3272 0.1967 x4
9 Mn 0.3542 0.0000 0.1954 x2
10 O 0.0029 0.3233 0.7212 x4
11 O 0.0171 0.3293 0.2158 x4
12 O 0.1358 0.1429 0.8485 x4
13 O 0.1547 0.0000 0.6501 x2
14 O 0.1797 0.5000 0.5255 x2
15 O 0.2009 0.1949 0.5275 x4
16 O 0.2078 0.5000 0.8583 x2
17 O 0.3262 0.3166 0.0299 x4
18 O 0.3283 0.0000 0.3674 x2
19 O 0.3633 0.0000 0.0193 x2
20 O 0.3684 0.3442 0.3564 x4
21 O 0.4955 0.5000 0.1788 x2

The 8 most intense peaks (2θ = 10–80°), by angle:
2theta, Rel. int., (hkl)
28.16, 52, 1 3 0
28.67, 33, 2 0 0
29.08, 36, 1 3 -1
30.01, 65, 0 0 4
31.84, 67, 1 3 -2
32.15, 100, 1 3 2
49.55, 41, 0 6 0
50.48, 60, 3 3 0

***

Simulated X-ray diffraction stick pattern of Sr2Ca2FeCo3O12 for Cu Ka, from a DFT-relaxed cell (GGA+U, the Materials Project).

a b c (Å): 7.5909 7.8214 7.6801
angles (deg): 90.00 90.00 90.00
Space group Pm (No. 6)
Asymmetric unit:
1 Sr 0.0000 0.0000 0.0000 x1
2 Sr 0.9999 0.0000 0.4930 x1
3 Sr 0.0005 0.5000 0.4932 x1
4 Sr 0.4981 0.5000 0.0000 x1
5 Ca 0.5031 0.0000 0.0075 x1
6 Ca 0.5030 0.0000 0.4872 x1
7 Ca 0.5047 0.5000 0.4871 x1
8 Ca 0.9954 0.5000 0.0063 x1
9 Fe 0.7473 0.2498 0.7468 x2
10 Co 0.2500 0.2500 0.7467 x2
11 Co 0.2512 0.2499 0.2468 x2
12 Co 0.7483 0.2501 0.2465 x2
13 O 0.0125 0.2512 0.7483 x2
14 O 0.2462 0.5000 0.2458 x1
15 O 0.2499 0.2494 0.0119 x2
16 O 0.2514 0.5000 0.7462 x1
17 O 0.2531 0.0000 0.7466 x1
18 O 0.2535 0.2498 0.4814 x2
19 O 0.2703 0.0000 0.2468 x1
20 O 0.4865 0.2492 0.7455 x2
21 O 0.5114 0.2527 0.2480 x2
22 O 0.7384 0.0000 0.2470 x1
23 O 0.7429 0.2499 0.4994 x2
24 O 0.7439 0.0000 0.7464 x1
25 O 0.7470 0.5000 0.7461 x1
26 O 0.7477 0.2497 0.9940 x2
27 O 0.7499 0.5000 0.2474 x1
28 O 0.9867 0.2488 0.2452 x2

The 8 most intense peaks (2θ = 10–80°), by angle:
2theta, Rel. int., (hkl)
32.68, 100, 0 2 2
32.88, 99, 2 2 0
33.19, 96, 2 0 2
46.44, 44, 0 4 0
47.35, 41, 0 0 4
47.94, 39, 4 0 0
58.26, 37, 2 4 2
58.85, 35, 2 2 4

***

Simulated X-ray diffraction stick pattern of MnP2O7 for Cu Ka, from a DFT-relaxed cell (GGA+U, the Materials Project).

a b c (Å): 6.2660 9.6641 10.6313
angles (deg): 65.09 80.23 73.65
Space group P-1 (No. 2)
Asymmetric unit:
1 Mn 0.1222 0.2517 0.2491 x2
2 Mn 0.2142 0.6147 0.2718 x2
3 P 0.0891 0.6575 0.0338 x2
4 P 0.1971 0.2842 0.5289 x2
5 P 0.3991 0.6409 0.7968 x2
6 P 0.4169 0.8816 0.2937 x2
7 O 0.0622 0.2684 0.6678 x2
8 O 0.0670 0.5211 0.1811 x2
9 O 0.0997 0.2318 0.4395 x2
10 O 0.1072 0.2838 0.0510 x2
11 O 0.1499 0.7720 0.0811 x2
12 O 0.1945 0.7390 0.7125 x2
13 O 0.2125 0.0045 0.3077 x2
14 O 0.2418 0.4491 0.4536 x2
15 O 0.3048 0.5858 0.9576 x2
16 O 0.3739 0.7217 0.3239 x2
17 O 0.4288 0.1579 0.5757 x2
18 O 0.4379 0.2547 0.2218 x2
19 O 0.4634 0.0406 0.8428 x2
20 O 0.4996 0.4841 0.7813 x2

The 8 most intense peaks (2θ = 10–80°), by angle:
2theta, Rel. int., (hkl)
10.38, 100, 0 1 0
16.94, 36, 1 0 1
17.87, 58, 1 0 -1
18.43, 51, 0 0 2
20.63, 64, 1 2 1
20.84, 50, 0 2 0
22.58, 53, 1 2 0
29.06, 27, 0 3 1